Theoretical powder diffractogram
Compound: Mg3MnO4
Radiation: Cu Kα, 1.54184 Å
Structure: a DFT-relaxed cell (GGA+U, Alexandria)
Intensities are scaled so that the largest is 100.

Crystal structure
```
Mg3MnO4
1.0
4.3338 0.0000 0.0000
0.0000 4.3338 0.0000
0.0000 0.0000 4.3338
Mg Mn O
3 1 4
Direct
0.0000 0.0000 0.5000
0.0000 0.5000 0.0000
0.5000 0.0000 0.0000
0.5000 0.5000 0.5000
0.0000 0.0000 0.0000
0.0000 0.5000 0.5000
0.5000 0.0000 0.5000
0.5000 0.5000 0.0000
```

Principal peaks in the range 2θ from 5° to 70°, in order of rising 2θ:
- hkl 1 0 0, 20.49°, intensity 16
- hkl 1 1 0, 29.14°, intensity 13
- hkl 1 1 1, 35.89°, intensity 24
- hkl 2 0 0, 41.68°, intensity 100
- hkl 2 1 0, 46.88°, intensity 6
- hkl 2 2 0, 60.42°, intensity 57